Simulated powder diffraction line list
Compound: Cs3Li2CeI8
Radiation: Cu Kα
Structure: a structure optimized by DFT (GGA-PBE)
Kinematic intensities with the Lorentz-polarization factor, no thermal factor.

Most intense lines, 10 to 90 degrees two-theta, by angle:
- 20.60 deg, rel. 37.8
- 24.45 deg, rel. 36.1
- 25.21 deg, rel. 100.0
- 26.34 deg, rel. 52.6
- 28.97 deg, rel. 66.2
- 34.41 deg, rel. 26.5
- 40.95 deg, rel. 38.0
- 41.91 deg, rel. 47.9
- 49.12 deg, rel. 31.7
- 51.73 deg, rel. 20.2

a = 8.622 Å, b = 8.622 Å, c = 10.921 Å
α = 90.00°, β = 90.00°, γ = 120.00°
Atoms (fractional coordinates):
Cs 0.000 0.000 0.000
Cs 0.333 0.667 0.630
Cs 0.667 0.333 0.370
Li 0.333 0.667 0.200
Li 0.667 0.333 0.800
Ce 0.000 0.000 0.500
I 0.167 0.334 0.327
I 0.167 0.833 0.327
I 0.333 0.667 0.963
I 0.334 0.167 0.673
I 0.666 0.833 0.327
I 0.667 0.333 0.037
I 0.833 0.167 0.673
I 0.833 0.666 0.673


Simulated powder diffraction line list
Compound: CsKCeS3
Radiation: Cu Kα
Structure: a structure optimized by DFT (GGA-PBE)
Kinematic intensities with the Lorentz-polarization factor, no thermal factor.

Most intense lines, 10 to 90 degrees two-theta, by angle:
- 13.12 deg, rel. 58.1
- 23.04 deg, rel. 78.4
- 23.70 deg, rel. 45.8
- 24.48 deg, rel. 40.2
- 25.52 deg, rel. 100.0
- 30.52 deg, rel. 50.2
- 37.81 deg, rel. 26.8
- 39.69 deg, rel. 26.4
- 40.68 deg, rel. 26.0
- 43.09 deg, rel. 17.4

a = 8.611 Å, b = 8.611 Å, c = 7.429 Å
α = 95.24°, β = 95.24°, γ = 127.10°
Atoms (fractional coordinates):
Cs 0.249 0.751 0.750
Cs 0.751 0.249 0.250
K 0.077 0.923 0.250
K 0.923 0.077 0.750
Ce 0.444 0.556 0.250
Ce 0.556 0.444 0.750
S 0.242 0.330 0.501
S 0.279 0.721 0.250
S 0.330 0.242 0.001
S 0.670 0.758 0.999
S 0.721 0.279 0.750
S 0.758 0.670 0.499


Simulated powder diffraction line list
Compound: Cs2La2CeSe6
Radiation: Cu Kα
Structure: a structure optimized by DFT (GGA-PBE)
Kinematic intensities with the Lorentz-polarization factor, no thermal factor.

Most intense lines, 10 to 90 degrees two-theta, by angle:
- 10.39 deg, rel. 48.4
- 27.13 deg, rel. 51.9
- 27.31 deg, rel. 100.0
- 34.07 deg, rel. 14.3
- 36.71 deg, rel. 31.1
- 36.74 deg, rel. 17.0
- 40.94 deg, rel. 37.1
- 41.16 deg, rel. 18.8
- 50.00 deg, rel. 17.9
- 55.87 deg, rel. 12.5

a = 7.610 Å, b = 7.610 Å, c = 8.897 Å
α = 98.38°, β = 98.38°, γ = 119.65°
Atoms (fractional coordinates):
Cs 0.170 0.830 0.000
Cs 0.830 0.170 0.000
La 0.334 0.666 0.500
La 0.666 0.334 0.500
Ce 0.000 0.000 0.500
Se 0.061 0.382 0.683
Se 0.255 0.255 0.317
Se 0.382 0.061 0.683
Se 0.618 0.939 0.317
Se 0.745 0.745 0.683
Se 0.939 0.618 0.317